1.
For Ti2ZnSbW, the GGA-PBE geometry in Alexandria gives the calculated powder X-ray diffraction pattern in this record (λ = 1.5418 Å (Cu Kα)).
Kinematic intensities with the Lorentz-polarization factor, no thermal factor.

Structure:
abc: 4.8673 4.8673 5.1260
angles: 90.00 90.00 90.00
Atoms (fractional coordinates):
Ti1 0.0000 0.5000 0.0000
Ti2 0.5000 0.0000 0.0000
Zn1 0.0000 0.0000 0.5000
Sb1 0.5000 0.5000 0.5000
W1 0.5000 0.5000 0.0000

Top 10 peaks for 2θ from 15° to 90°, most intense first:
Position (°2θ)	I (rel.)
18.23	100
36.94	71
25.89	62
51.80	52
35.01	41
44.05	31
25.23	30
39.75	28
65.31	26
41.48	25


2.
For Ti12ZnSb6, the GGA-PBE geometry in Alexandria gives the calculated powder X-ray diffraction pattern in this record (λ = 1.5418 Å (Cu Kα)).
Kinematic intensities with the Lorentz-polarization factor, no thermal factor.

Structure:
abc: 7.5984 7.5984 7.5984
angles: 98.51 98.51 98.51
Atoms (fractional coordinates):
Ti1 0.0141 0.3262 0.8703
Ti2 0.1297 0.9859 0.6738
Ti3 0.1927 0.6186 0.4688
Ti4 0.3262 0.8703 0.0141
Ti5 0.3814 0.5312 0.8073
Ti6 0.4688 0.1927 0.6186
Ti7 0.5312 0.8073 0.3814
Ti8 0.6186 0.4688 0.1927
Ti9 0.6738 0.1297 0.9859
Ti10 0.8073 0.3814 0.5312
Ti11 0.8703 0.0141 0.3262
Ti12 0.9859 0.6738 0.1297
Zn1 0.5000 0.5000 0.5000
Sb1 0.0337 0.6610 0.7758
Sb2 0.2242 0.9663 0.3390
Sb3 0.3390 0.2242 0.9663
Sb4 0.6610 0.7758 0.0337
Sb5 0.7758 0.0337 0.6610
Sb6 0.9663 0.3390 0.2242

Top 10 peaks for 2θ from 15° to 90°, most intense first:
Position (°2θ)	I (rel.)
24.97	100
40.51	79
41.50	66
24.18	38
48.61	23
59.38	18
47.73	17
75.04	14
49.04	11
63.49	11